(1)
Structure and theoretical powder diffractogram of KIn3Ga3Au4 (a cell relaxed with GGA-PBE; Cu Kα, 1.54184 Å).
No peak broadening, texture or thermal motion is included.

Most intense lines, 2θ = 5–70°, in order of rising 2θ:
- 2θ 12.7, I = 40
- 2θ 20.3, I = 23
- 2θ 24.0, I = 25
- 2θ 25.6, I = 26
- 2θ 30.2, I = 31
- 2θ 32.9, I = 50
- 2θ 34.0, I = 46
- 2θ 40.0, I = 100
- 2θ 41.3, I = 33
- 2θ 44.2, I = 42
- 2θ 45.1, I = 22
- 2θ 54.6, I = 24

Atomic structure:
```
data_KIn3Ga3Au4
_chemical_formula_sum 'K1 In3 Ga3 Au4'
_space_group_name_H-M_alt 'P -6 m 2'
_space_group_IT_number 187
_space_group_name_Hall 'P -6 2'
_cell_length_a 8.0457
_cell_length_b 8.0457
_cell_length_c 4.3721
_cell_angle_alpha 90.00
_cell_angle_beta 90.00
_cell_angle_gamma 120.00
loop_
_atom_site_label
_atom_site_type_symbol
_atom_site_fract_x
_atom_site_fract_y
_atom_site_fract_z
K1 K 0.0000 0.0000 0.0000
In1 In 0.1948 0.3896 0.5000
Ga1 Ga 0.5374 0.0749 0.0000
Au1 Au 0.3333 0.6667 0.0000
Au2 Au 0.4182 0.2091 0.5000
```

---

(2)
Structure and theoretical powder diffractogram of KIn3Ga3Au4 (a cell relaxed with GGA-PBE; Cu Kα, 1.54184 Å).
No peak broadening, texture or thermal motion is included.

Most intense lines, 2θ = 5–70°, in order of rising 2θ:
- 2θ 12.8, I = 36
- 2θ 24.0, I = 28
- 2θ 25.7, I = 43
- 2θ 30.2, I = 32
- 2θ 32.9, I = 73
- 2θ 34.2, I = 25
- 2θ 40.1, I = 100
- 2θ 41.1, I = 34
- 2θ 44.3, I = 29
- 2θ 45.3, I = 37
- 2θ 58.0, I = 16
- 2θ 62.8, I = 28

Atomic structure:
```
data_KIn3Ga3Au4
_chemical_formula_sum 'K1 In3 Ga3 Au4'
_space_group_name_H-M_alt 'P -6 m 2'
_space_group_IT_number 187
_space_group_name_Hall 'P -6 2'
_cell_length_a 8.0073
_cell_length_b 8.0073
_cell_length_c 4.3937
_cell_angle_alpha 90.00
_cell_angle_beta 90.00
_cell_angle_gamma 120.00
loop_
_atom_site_label
_atom_site_type_symbol
_atom_site_fract_x
_atom_site_fract_y
_atom_site_fract_z
K1 K 0.0000 0.0000 0.0000
In1 In 0.5343 0.0686 0.0000
Ga1 Ga 0.2014 0.4029 0.5000
Au1 Au 0.3333 0.6667 0.0000
Au2 Au 0.3809 0.1904 0.5000
```

---

(3)
Structure and theoretical powder diffractogram of Li2Sc2InGaAu2 (a cell relaxed with GGA-PBE; Cu Kα, 1.54184 Å).
No peak broadening, texture or thermal motion is included.

Most intense lines, 2θ = 5–70°, in order of rising 2θ:
- 2θ 23.6, I = 81
- 2θ 27.3, I = 4
- 2θ 30.6, I = 1
- 2θ 33.6, I = 1
- 2θ 39.0, I = 100
- 2θ 46.0, I = 14
- 2θ 46.1, I = 29
- 2θ 48.3, I = 1
- 2θ 56.2, I = 5
- 2θ 56.4, I = 11
- 2θ 62.0, I = 18
- 2θ 63.8, I = 1

Atomic structure:
```
data_Li2Sc2InGaAu2
_chemical_formula_sum 'Li2 Sc2 In1 Ga1 Au2'
_space_group_name_H-M_alt 'P -4 m 2'
_space_group_IT_number 115
_cell_length_a 4.612
_cell_length_b 4.612
_cell_length_c 6.544
_cell_angle_alpha 90.00
_cell_angle_beta 90.00
_cell_angle_gamma 90.00
loop_
_space_group_symop_operation_xyz
'x,y,z'
'y,-x,-z'
'-x,-y,z'
'-y,x,-z'
'-x,y,z'
'-y,-x,-z'
'x,-y,z'
'y,x,-z'
loop_
_atom_site_label
_atom_site_type_symbol
_atom_site_fract_x
_atom_site_fract_y
_atom_site_fract_z
Li1 Li 0.000 0.500 0.238
Sc1 Sc 0.000 0.000 0.500
Sc2 Sc 0.500 0.500 0.000
In1 In 0.500 0.500 0.500
Ga1 Ga 0.000 0.000 0.000
Au1 Au 0.000 0.500 0.761
```

---

(4)
Structure and theoretical powder diffractogram of RbInGaAu (a cell relaxed with GGA-PBE; Cu Kα, 1.54184 Å).
No peak broadening, texture or thermal motion is included.

Most intense lines, 2θ = 5–70°, in order of rising 2θ:
- 2θ 13.3, I = 100
- 2θ 15.1, I = 49
- 2θ 19.7, I = 28
- 2θ 24.6, I = 65
- 2θ 26.9, I = 84
- 2θ 31.7, I = 23
- 2θ 34.6, I = 25
- 2θ 36.3, I = 25
- 2θ 39.9, I = 33
- 2θ 40.2, I = 44
- 2θ 44.9, I = 42
- 2θ 48.8, I = 33

Atomic structure:
```
data_RbInGaAu
_chemical_formula_sum 'Rb4 In4 Ga4 Au4'
_space_group_name_H-M_alt 'C 1 2/m 1'
_space_group_IT_number 12
_cell_length_a 18.359
_cell_length_b 4.515
_cell_length_c 6.746
_cell_angle_alpha 90.00
_cell_angle_beta 100.17
_cell_angle_gamma 90.00
loop_
_space_group_symop_operation_xyz
'x,y,z'
'-x,-y,-z'
'-x,y,-z'
'x,-y,z'
'x+1/2,y+1/2,z'
'-x+1/2,-y+1/2,-z'
'-x+1/2,y+1/2,-z'
'x+1/2,-y+1/2,z'
loop_
_atom_site_label
_atom_site_type_symbol
_atom_site_fract_x
_atom_site_fract_y
_atom_site_fract_z
Rb1 Rb 0.116 0.000 0.381
In1 In 0.047 0.500 0.835
Ga1 Ga 0.210 0.500 0.003
Au1 Au 0.142 0.000 0.887
```

---

(5)
Structure and theoretical powder diffractogram of Zr2InGaAu2 (a cell relaxed with GGA-PBE; Cu Kα, 1.54184 Å).
No peak broadening, texture or thermal motion is included.

Most intense lines, 2θ = 5–70°, in order of rising 2θ:
- 2θ 24.0, I = 64
- 2θ 39.7, I = 100
- 2θ 47.0, I = 33
- 2θ 57.4, I = 17
- 2θ 63.2, I = 14

Atomic structure:
```
data_Zr2InGaAu2
_chemical_formula_sum 'Zr8 In4 Ga4 Au8'
_space_group_name_H-M_alt 'P 1 m 1'
_space_group_IT_number 6
_cell_length_a 11.114
_cell_length_b 4.537
_cell_length_c 11.116
_cell_angle_alpha 90.00
_cell_angle_beta 109.49
_cell_angle_gamma 90.00
loop_
_space_group_symop_operation_xyz
'x,y,z'
'x,-y,z'
loop_
_atom_site_label
_atom_site_type_symbol
_atom_site_fract_x
_atom_site_fract_y
_atom_site_fract_z
Zr1 Zr 0.000 0.000 0.000
Zr2 Zr 0.119 0.500 0.374
Zr3 Zr 0.242 0.000 0.745
Zr4 Zr 0.375 0.500 0.131
Zr5 Zr 0.499 0.000 0.500
Zr6 Zr 0.624 0.500 0.870
Zr7 Zr 0.748 0.000 0.253
Zr8 Zr 0.869 0.500 0.622
In1 In 0.121 0.500 0.875
In2 In 0.371 0.500 0.623
In3 In 0.498 0.000 0.001
In4 In 0.872 0.500 0.125
Ga1 Ga 0.248 0.000 0.250
Ga2 Ga 0.623 0.500 0.375
Ga3 Ga 0.747 0.000 0.748
Ga4 Ga 0.996 0.000 0.499
Au1 Au 0.128 0.500 0.130
Au2 Au 0.242 0.000 0.493
Au3 Au 0.372 0.500 0.875
Au4 Au 0.499 0.000 0.256
Au5 Au 0.625 0.500 0.622
Au6 Au 0.748 0.000 0.995
Au7 Au 0.871 0.500 0.378
Au8 Au 0.990 0.000 0.744
```

---

(6)
Structure and theoretical powder diffractogram of Li2Sc2Ga2IrAu (a cell relaxed with GGA-PBE; Cu Kα, 1.54184 Å).
No peak broadening, texture or thermal motion is included.

Most intense lines, 2θ = 5–70°, in order of rising 2θ:
- 2θ 24.2, I = 100
- 2θ 27.8, I = 3
- 2θ 28.1, I = 6
- 2θ 39.9, I = 75
- 2θ 40.2, I = 37
- 2θ 47.0, I = 17
- 2θ 47.5, I = 34
- 2θ 49.6, I = 3
- 2θ 57.4, I = 6
- 2θ 58.1, I = 12
- 2θ 63.5, I = 14
- 2θ 63.9, I = 7

Atomic structure:
```
data_Li2Sc2Ga2IrAu
_chemical_formula_sum 'Li2 Sc2 Ga2 Ir1 Au1'
_space_group_name_H-M_alt 'P -4 m 2'
_space_group_IT_number 115
_cell_length_a 4.488
_cell_length_b 4.488
_cell_length_c 6.420
_cell_angle_alpha 90.00
_cell_angle_beta 90.00
_cell_angle_gamma 90.00
loop_
_space_group_symop_operation_xyz
'x,y,z'
'y,-x,-z'
'-x,-y,z'
'-y,x,-z'
'-x,y,z'
'-y,-x,-z'
'x,-y,z'
'y,x,-z'
loop_
_atom_site_label
_atom_site_type_symbol
_atom_site_fract_x
_atom_site_fract_y
_atom_site_fract_z
Li1 Li 0.000 0.000 0.000
Li2 Li 0.500 0.500 0.500
Sc1 Sc 0.000 0.500 0.239
Ga1 Ga 0.000 0.500 0.767
Ir1 Ir 0.500 0.500 0.000
Au1 Au 0.000 0.000 0.500
```

---

(7)
Structure and theoretical powder diffractogram of Li2Zn2Ga2IrAu (a cell relaxed with GGA-PBE; Cu Kα, 1.54184 Å).
No peak broadening, texture or thermal motion is included.

Most intense lines, 2θ = 5–70°, in order of rising 2θ:
- 2θ 25.0, I = 100
- 2θ 28.6, I = 2
- 2θ 29.2, I = 3
- 2θ 41.3, I = 89
- 2θ 41.8, I = 44
- 2θ 48.5, I = 17
- 2θ 49.3, I = 33
- 2θ 51.4, I = 1
- 2θ 59.1, I = 7
- 2θ 60.6, I = 14
- 2θ 65.9, I = 14
- 2θ 66.6, I = 7

Atomic structure:
```
data_Li2Zn2Ga2IrAu
_chemical_formula_sum 'Li2 Zn2 Ga2 Ir1 Au1'
_space_group_name_H-M_alt 'P -4 m 2'
_space_group_IT_number 115
_cell_length_a 4.323
_cell_length_b 4.323
_cell_length_c 6.251
_cell_angle_alpha 90.00
_cell_angle_beta 90.00
_cell_angle_gamma 90.00
loop_
_space_group_symop_operation_xyz
'x,y,z'
'y,-x,-z'
'-x,-y,z'
'-y,x,-z'
'-x,y,z'
'-y,-x,-z'
'x,-y,z'
'y,x,-z'
loop_
_atom_site_label
_atom_site_type_symbol
_atom_site_fract_x
_atom_site_fract_y
_atom_site_fract_z
Li1 Li 0.000 0.000 0.000
Li2 Li 0.500 0.500 0.500
Zn1 Zn 0.000 0.500 0.240
Ga1 Ga 0.000 0.500 0.771
Ir1 Ir 0.500 0.500 0.000
Au1 Au 0.000 0.000 0.500
```

---

(8)
Structure and theoretical powder diffractogram of SrGa2IrAu (a cell relaxed with GGA-PBE; Cu Kα, 1.54184 Å).
No peak broadening, texture or thermal motion is included.

Most intense lines, 2θ = 5–70°, in order of rising 2θ:
- 2θ 17.3, I = 30
- 2θ 21.6, I = 21
- 2θ 29.4, I = 49
- 2θ 32.9, I = 58
- 2θ 33.1, I = 100
- 2θ 40.0, I = 89
- 2θ 45.4, I = 62
- 2θ 48.8, I = 18
- 2θ 52.7, I = 30
- 2θ 57.9, I = 30
- 2θ 61.6, I = 17
- 2θ 68.4, I = 24

Atomic structure:
```
data_SrGa2IrAu
_chemical_formula_sum 'Sr2 Ga4 Ir2 Au2'
_space_group_name_H-M_alt 'P 4/n m m'
_space_group_IT_number 129
_cell_length_a 4.504
_cell_length_b 4.504
_cell_length_c 10.258
_cell_angle_alpha 90.00
_cell_angle_beta 90.00
_cell_angle_gamma 90.00
loop_
_space_group_symop_operation_xyz
'x,y,z'
'-x,-y,-z'
'-y+1/2,x,z'
'y+1/2,-x,-z'
'-x+1/2,-y+1/2,z'
'x+1/2,y+1/2,-z'
'y,-x+1/2,z'
'-y,x+1/2,-z'
'x+1/2,-y,-z'
'-x+1/2,y,z'
'-y,-x,-z'
'y,x,z'
'-x,y+1/2,-z'
'x,-y+1/2,z'
'y+1/2,x+1/2,-z'
'-y+1/2,-x+1/2,z'
loop_
_atom_site_label
_atom_site_type_symbol
_atom_site_fract_x
_atom_site_fract_y
_atom_site_fract_z
Sr1 Sr 0.250 0.250 0.246
Ga1 Ga 0.250 0.250 0.640
Ga2 Ga 0.250 0.750 0.000
Ir1 Ir 0.250 0.250 0.881
Au1 Au 0.250 0.750 0.500
```

---

(9)
Structure and theoretical powder diffractogram of Y2Ga4IrAu (a cell relaxed with GGA-PBE; Cu Kα, 1.54184 Å).
No peak broadening, texture or thermal motion is included.

Most intense lines, 2θ = 5–70°, in order of rising 2θ:
- 2θ 17.3, I = 38
- 2θ 25.8, I = 41
- 2θ 26.3, I = 25
- 2θ 34.6, I = 79
- 2θ 35.9, I = 100
- 2θ 37.5, I = 48
- 2θ 41.3, I = 50
- 2θ 42.9, I = 53
- 2θ 46.1, I = 42
- 2θ 54.1, I = 26
- 2θ 57.0, I = 28
- 2θ 67.4, I = 18

Atomic structure:
```
data_Y2Ga4IrAu
_chemical_formula_sum 'Y4 Ga8 Ir2 Au2'
_space_group_name_H-M_alt 'A m m 2'
_space_group_IT_number 38
_cell_length_a 6.776
_cell_length_b 4.371
_cell_length_c 10.257
_cell_angle_alpha 90.00
_cell_angle_beta 90.00
_cell_angle_gamma 90.00
loop_
_space_group_symop_operation_xyz
'x,y,z'
'-x,-y,z'
'-x,y,z'
'x,-y,z'
'x,y+1/2,z+1/2'
'-x,-y+1/2,z+1/2'
'-x,y+1/2,z+1/2'
'x,-y+1/2,z+1/2'
loop_
_atom_site_label
_atom_site_type_symbol
_atom_site_fract_x
_atom_site_fract_y
_atom_site_fract_z
Y1 Y 0.000 0.000 0.000
Y2 Y 0.500 0.000 0.166
Ga1 Ga 0.203 0.000 0.715
Ga2 Ga 0.308 0.000 0.454
Ir1 Ir 0.500 0.000 0.879
Au1 Au 0.000 0.000 0.290
```

---

(10)
Structure and theoretical powder diffractogram of KGa2Au2 (a cell relaxed with GGA-PBE; Cu Kα, 1.54184 Å).
No peak broadening, texture or thermal motion is included.

Most intense lines, 2θ = 5–70°, in order of rising 2θ:
- 2θ 17.7, I = 83
- 2θ 26.1, I = 20
- 2θ 31.7, I = 100
- 2θ 32.6, I = 15
- 2θ 37.2, I = 65
- 2θ 41.5, I = 41
- 2θ 44.8, I = 56
- 2θ 52.6, I = 13
- 2θ 53.7, I = 23
- 2θ 57.0, I = 17
- 2θ 61.8, I = 22
- 2θ 63.7, I = 27

Atomic structure:
```
data_KGa2Au2
_chemical_formula_sum 'K2 Ga4 Au4'
_space_group_name_H-M_alt 'I 4/m m m'
_space_group_IT_number 139
_space_group_name_Hall '-I 4 2'
_cell_length_a 4.831
_cell_length_b 4.831
_cell_length_c 10.026
_cell_angle_alpha 90.00
_cell_angle_beta 90.00
_cell_angle_gamma 90.00
loop_
_atom_site_label
_atom_site_type_symbol
_atom_site_fract_x
_atom_site_fract_y
_atom_site_fract_z
K1 K 0.000 0.000 0.000
Ga1 Ga 0.000 0.000 0.362
Au1 Au 0.000 0.500 0.250
```

---

(11)
Structure and theoretical powder diffractogram of K2GaAu2O3 (a cell relaxed with GGA-PBE; Cu Kα, 1.54184 Å).
No peak broadening, texture or thermal motion is included.

Most intense lines, 2θ = 5–70°, in order of rising 2θ:
- 2θ 9.2, I = 100
- 2θ 18.5, I = 19
- 2θ 28.0, I = 10
- 2θ 32.7, I = 11
- 2θ 34.0, I = 13
- 2θ 34.2, I = 15
- 2θ 37.7, I = 11
- 2θ 38.1, I = 10
- 2θ 41.7, I = 8
- 2θ 43.3, I = 10
- 2θ 43.8, I = 9
- 2θ 50.4, I = 6

Atomic structure:
```
data_K2GaAu2O3
_chemical_formula_sum 'K4 Ga2 Au4 O6'
_space_group_name_H-M_alt 'C 1 m 1'
_space_group_IT_number 8
_cell_length_a 19.552
_cell_length_b 3.525
_cell_length_c 4.336
_cell_angle_alpha 90.00
_cell_angle_beta 101.82
_cell_angle_gamma 90.00
loop_
_space_group_symop_operation_xyz
'x,y,z'
'x,-y,z'
'x+1/2,y+1/2,z'
'x+1/2,-y+1/2,z'
loop_
_atom_site_label
_atom_site_type_symbol
_atom_site_fract_x
_atom_site_fract_y
_atom_site_fract_z
K1 K 0.000 0.000 0.000
K2 K 0.127 0.000 0.619
Ga1 Ga 0.387 0.000 0.396
Au1 Au 0.289 0.500 0.307
Au2 Au 0.313 0.000 0.826
O1 O 0.114 0.500 0.143
O2 O 0.179 0.500 0.041
O3 O 0.479 0.000 0.480
```

---

(12)
Structure and theoretical powder diffractogram of K2Rb3GaAu2 (a cell relaxed with GGA-PBE; Cu Kα, 1.54184 Å).
No peak broadening, texture or thermal motion is included.

Most intense lines, 2θ = 5–70°, in order of rising 2θ:
- 2θ 8.2, I = 100
- 2θ 11.8, I = 29
- 2θ 12.5, I = 20
- 2θ 26.9, I = 18
- 2θ 27.1, I = 9
- 2θ 29.9, I = 9
- 2θ 30.4, I = 13
- 2θ 32.5, I = 9
- 2θ 33.2, I = 9
- 2θ 34.1, I = 11
- 2θ 38.1, I = 10
- 2θ 39.0, I = 9

Atomic structure:
```
data_K2Rb3GaAu2
_chemical_formula_sum 'K4 Rb6 Ga2 Au4'
_space_group_name_H-M_alt 'C 1 m 1'
_space_group_IT_number 8
_cell_length_a 22.408
_cell_length_b 4.725
_cell_length_c 7.761
_cell_angle_alpha 90.00
_cell_angle_beta 104.98
_cell_angle_gamma 90.00
loop_
_space_group_symop_operation_xyz
'x,y,z'
'x,-y,z'
'x+1/2,y+1/2,z'
'x+1/2,-y+1/2,z'
loop_
_atom_site_label
_atom_site_type_symbol
_atom_site_fract_x
_atom_site_fract_y
_atom_site_fract_z
K1 K 0.000 0.000 0.000
K2 K 0.169 0.000 0.372
Rb1 Rb 0.221 0.500 0.954
Rb2 Rb 0.334 0.500 0.599
Rb3 Rb 0.485 0.000 0.478
Ga1 Ga 0.376 0.000 0.024
Au1 Au 0.310 0.000 0.255
Au2 Au 0.381 0.500 0.175
```